Ce6Al3Se14: theoretical X-ray powder pattern (Cu Kα, 1.54184 Å), based on a DFT-relaxed cell (GGA-PBE, Alexandria).
Kinematic intensities with the Lorentz-polarization factor, no thermal factor.

Top 6 peaks for 2θ = 10–80°, most intense first:
| 2theta | I/Imax | (hkl) |
| --- | --- | --- |
| 32.9 | 100 | 3 0 1 |
| 29.8 | 91 | 1 2 1 |
| 34.9 | 86 | 0 2 2 |
| 38.6 | 72 | 4 -3 1 |
| 34.3 | 64 | 2 2 0 |
| 39.0 | 55 | 3 -1 2 |

```
Ce6Al3Se14
1.0
10.4613 0.0000 0.0000
-5.2306 9.0597 0.0000
0.0000 0.0000 6.2491
Ce Al Se
6 3 14
Direct
0.0360 0.5613 0.0000
0.2983 0.1084 0.5061
0.4387 0.4747 0.0000
0.5253 0.9640 0.0000
0.8101 0.7017 0.5061
0.8916 0.1899 0.5061
0.0000 0.0000 0.9156
0.3333 0.6667 0.4169
0.6667 0.3333 0.7930
0.0000 0.0000 0.2942
0.0938 0.8517 0.7657
0.1483 0.2422 0.7657
0.1818 0.4245 0.2687
0.2427 0.8182 0.2687
0.3333 0.6667 0.7953
0.4251 0.1846 0.0197
0.5244 0.4285 0.5569
0.5715 0.0959 0.5569
0.5755 0.7573 0.2687
0.7578 0.9062 0.7657
0.7596 0.5749 0.0197
0.8154 0.2404 0.0197
0.9041 0.4756 0.5569
```